Entry 1:
This entry pairs a crystal structure of NaInCuCl6 with its simulated powder diffractogram. Radiation: a wavelength of 1.5418 Å. Structure: the PBE geometry in Alexandria.

Structure:
```
NaInCuCl6
1.0
6.448 0.000 0.000
-3.224 5.584 0.000
0.000 0.000 6.282
Na In Cu Cl
1 1 1 6
Cartesian
0.000 0.000 0.000
0.000 3.723 3.141
3.224 1.861 3.141
2.339 0.061 4.563
1.222 1.995 1.718
4.109 0.061 1.718
2.107 3.528 4.563
5.226 1.995 4.563
4.341 3.528 1.718
```

Peak list (12 most intense, 10° ≤ 2θ ≤ 80°, sorted by position)
Position (°2θ), I/Imax
14.10, 80
15.87, 45
21.29, 79
31.18, 100
35.17, 19
40.08, 90
45.33, 24
48.93, 39
51.19, 16
52.08, 27
65.03, 18
79.92, 14

Entry 2:
This entry pairs a crystal structure of InCu6ClO8 with its simulated powder diffractogram. Radiation: a wavelength of 1.5418 Å. Structure: the PBE geometry in Alexandria.

Structure:
```
InCu6ClO8
1.0
0.000 4.605 4.605
4.605 0.000 4.605
4.605 4.605 0.000
In Cu Cl O
1 6 1 8
Cartesian
0.000 0.000 0.000
2.302 2.302 0.000
2.302 0.000 2.302
4.605 2.302 2.302
0.000 2.302 2.302
2.302 4.605 2.302
2.302 2.302 4.605
4.605 4.605 4.605
1.315 1.315 1.315
3.290 3.290 1.315
3.290 1.315 3.290
7.895 5.919 5.919
1.315 3.290 3.290
5.919 7.895 5.919
5.919 5.919 7.895
7.895 7.895 7.895
```

Peak list (12 most intense, 10° ≤ 2θ ≤ 80°, sorted by position)
Position (°2θ), I/Imax
16.67, 23
32.24, 1
33.71, 100
39.12, 31
42.80, 10
43.97, 1
51.56, 1
56.52, 43
59.37, 3
67.45, 36
70.89, 8
73.42, 2

Entry 3:
This entry pairs a crystal structure of RbInCuCl6 with its simulated powder diffractogram. Radiation: a wavelength of 1.5418 Å. Structure: the PBE geometry in Alexandria.

Structure:
```
RbInCuCl6
1.0
6.442 0.000 0.000
-2.610 5.893 0.000
-0.428 -0.648 7.294
Rb In Cu Cl
1 1 1 6
Cartesian
0.000 0.000 0.000
3.061 1.739 3.647
-0.067 3.781 3.644
1.842 -0.267 4.853
0.975 2.327 2.194
1.679 3.408 5.100
3.690 0.090 1.937
4.823 1.828 5.357
4.400 3.667 2.442
```

Peak list (12 most intense, 10° ≤ 2θ ≤ 80°, sorted by position)
Position (°2θ), I/Imax
12.13, 100
18.54, 91
20.25, 76
20.46, 82
27.10, 33
27.87, 28
31.05, 40
33.59, 54
36.44, 31
38.30, 78
40.24, 24
46.38, 35

Entry 4:
This entry pairs a crystal structure of Tl2InCuCl6 with its simulated powder diffractogram. Radiation: a wavelength of 1.5418 Å. Structure: the PBE geometry in Alexandria.

Structure:
```
Tl2InCuCl6
1.0
7.713 0.000 0.000
0.000 9.191 0.000
0.000 0.000 8.031
Tl In Cu Cl
4 2 2 12
Cartesian
1.928 0.069 1.424
1.928 4.526 1.424
5.785 4.664 6.607
5.785 9.122 6.607
1.928 2.298 5.848
5.785 6.893 2.183
1.928 6.893 4.996
5.785 2.298 3.036
0.125 2.298 7.666
0.195 2.298 3.974
1.928 4.890 6.156
1.928 8.895 6.156
3.661 2.298 3.974
3.731 2.298 7.666
3.981 6.893 0.365
4.051 6.893 4.057
5.785 0.295 1.875
5.785 4.300 1.875
7.518 6.893 4.057
7.588 6.893 0.365
```

Peak list (12 most intense, 10° ≤ 2θ ≤ 80°, sorted by position)
Position (°2θ), I/Imax
22.29, 21
23.06, 40
25.00, 39
25.14, 100
29.54, 18
30.26, 27
32.18, 40
39.21, 25
41.78, 37
45.74, 27
47.10, 28
62.93, 19

Entry 5:
This entry pairs a crystal structure of Cu2IrCl6 with its simulated powder diffractogram. Radiation: a wavelength of 1.5418 Å. Structure: the PBE geometry in Alexandria.

Structure:
```
Cu2IrCl6
1.0
6.427 0.000 0.000
0.000 6.535 0.000
-5.317 0.000 10.990
Cu Ir Cl
4 2 12
Cartesian
-0.194 0.733 1.238
-2.852 2.534 6.733
3.963 4.001 4.256
1.304 5.802 9.751
3.214 0.000 0.000
0.555 3.268 5.495
-3.560 0.910 9.353
-0.902 2.357 3.858
-3.559 4.670 10.940
-0.901 5.133 5.445
1.919 0.974 1.692
-0.740 2.293 7.187
1.850 4.242 3.802
-0.808 5.561 9.297
2.011 1.403 5.545
4.669 1.865 0.050
2.012 4.178 7.131
4.671 5.625 1.637
```

Peak list (12 most intense, 10° ≤ 2θ ≤ 80°, sorted by position)
Position (°2θ), I/Imax
15.78, 100
16.13, 28
16.73, 10
26.24, 12
29.29, 10
31.47, 17
32.40, 10
36.93, 10
38.03, 9
39.45, 18
41.69, 9
48.63, 9

Entry 6:
This entry pairs a crystal structure of K4Cu3Cl12 with its simulated powder diffractogram. Radiation: a wavelength of 1.5418 Å. Structure: the PBE geometry in Alexandria.

Structure:
```
K4Cu3Cl12
1.0
-5.447 5.447 5.447
5.447 -5.447 5.447
5.447 5.447 -5.447
K Cu Cl
4 3 12
Cartesian
2.723 2.723 -2.723
2.723 -2.723 2.723
-2.723 2.723 2.723
2.723 2.723 2.723
5.447 0.000 0.000
0.000 5.447 0.000
0.000 0.000 5.447
3.876 0.000 1.562
7.017 0.000 1.562
5.447 3.885 -1.570
1.562 3.876 0.000
3.885 -1.570 5.447
0.000 1.562 3.876
5.447 3.885 1.570
1.562 7.017 0.000
3.885 1.570 5.447
0.000 1.562 7.017
-1.570 5.447 3.885
1.570 5.447 3.885
```

Peak list (12 most intense, 10° ≤ 2θ ≤ 80°, sorted by position)
Position (°2θ), I/Imax
11.49, 83
19.96, 48
23.09, 100
25.86, 80
34.94, 23
40.57, 84
42.30, 34
50.25, 19
53.17, 31
58.72, 22
63.95, 18
73.81, 19

Entry 7:
This entry pairs a crystal structure of KCu4Cl7 with its simulated powder diffractogram. Radiation: a wavelength of 1.5418 Å. Structure: the PBE geometry in Alexandria.

Structure:
```
KCu4Cl7
1.0
15.619 0.000 0.000
0.000 6.265 0.000
0.000 0.000 6.224
K Cu Cl
2 8 14
Cartesian
0.000 1.099 0.000
7.810 5.165 3.112
1.870 4.182 3.354
3.909 1.130 3.207
3.900 5.135 0.095
5.940 2.082 0.242
9.679 2.082 0.242
11.710 1.130 3.207
11.719 5.135 0.095
13.749 4.182 3.354
0.000 5.148 2.517
1.860 1.973 2.820
1.853 4.532 5.618
3.769 5.170 2.438
4.041 1.095 5.550
5.956 1.733 2.505
5.949 4.292 5.932
7.810 1.116 5.629
9.663 1.733 2.505
9.670 4.292 5.932
11.578 1.095 5.550
11.850 5.170 2.438
13.759 1.973 2.820
13.766 4.532 5.618
```

Peak list (12 most intense, 10° ≤ 2θ ≤ 80°, sorted by position)
Position (°2θ), I/Imax
11.33, 58
15.28, 89
22.24, 48
23.14, 75
26.91, 70
28.50, 74
28.68, 100
30.56, 46
46.51, 43
49.50, 57
52.00, 49
58.21, 39

Entry 8:
This entry pairs a crystal structure of KCu3Cl8 with its simulated powder diffractogram. Radiation: a wavelength of 1.5418 Å. Structure: the PBE geometry in Alexandria.

Structure:
```
KCu3Cl8
1.0
6.360 0.000 0.000
-3.180 5.508 0.000
0.000 0.000 8.583
K Cu Cl
1 3 8
Cartesian
0.000 0.000 0.000
0.000 0.000 4.292
0.000 3.672 6.265
3.180 1.836 2.318
-2.154 3.909 5.704
0.872 1.688 5.704
1.898 0.089 2.880
0.000 3.672 8.463
3.180 1.836 0.120
1.282 5.419 5.704
2.308 3.820 2.880
5.334 1.599 2.880
```

Peak list (12 most intense, 10° ≤ 2θ ≤ 80°, sorted by position)
Position (°2θ), I/Imax
10.31, 21
19.15, 100
26.33, 34
28.06, 41
29.96, 43
31.26, 21
35.12, 30
38.85, 19
44.80, 20
48.61, 19
49.65, 39
51.37, 41

Entry 9:
This entry pairs a crystal structure of KCu7Cl12 with its simulated powder diffractogram. Radiation: a wavelength of 1.5418 Å. Structure: the PBE geometry in Alexandria.

Structure:
```
KCu7Cl12
1.0
-4.633 4.633 4.633
4.633 -4.633 4.633
4.633 4.633 -4.633
K Cu Cl
1 7 12
Cartesian
0.000 0.000 0.000
2.317 2.317 -2.317
2.317 -2.317 2.317
4.633 0.000 0.000
-2.317 2.317 2.317
0.000 4.633 0.000
0.000 0.000 4.633
2.317 2.317 2.317
4.633 3.005 -1.699
2.934 0.000 1.628
6.332 0.000 1.628
1.628 2.934 0.000
3.005 -1.699 4.633
0.000 1.628 2.934
4.633 3.005 1.699
1.628 6.332 0.000
3.005 1.699 4.633
-1.699 4.633 3.005
1.699 4.633 3.005
0.000 1.628 6.332
```

Peak list (12 most intense, 10° ≤ 2θ ≤ 80°, sorted by position)
Position (°2θ), I/Imax
13.51, 7
23.52, 7
27.22, 100
30.51, 39
36.27, 20
38.88, 44
48.10, 95
56.15, 17
58.04, 13
63.49, 24
70.39, 7
77.01, 22

Entry 10:
This entry pairs a crystal structure of KCu4Cl12 with its simulated powder diffractogram. Radiation: a wavelength of 1.5418 Å. Structure: the PBE geometry in Alexandria.

Structure:
```
KCu4Cl12
1.0
-4.569 4.569 4.569
4.569 -4.569 4.569
4.569 4.569 -4.569
K Cu Cl
1 4 12
Cartesian
0.000 0.000 0.000
2.284 2.284 -2.284
2.284 -2.284 2.284
-2.284 2.284 2.284
2.284 2.284 2.284
4.569 -1.851 2.763
2.718 1.805 0.000
6.419 1.805 0.000
2.763 4.569 -1.851
1.805 0.000 2.718
0.000 2.718 1.805
4.569 1.851 2.763
2.763 4.569 1.851
1.805 0.000 6.419
-1.851 2.763 4.569
1.851 2.763 4.569
0.000 6.419 1.805
```

Peak list (12 most intense, 10° ≤ 2θ ≤ 80°, sorted by position)
Position (°2θ), I/Imax
19.43, 100
27.61, 24
30.95, 37
36.80, 32
39.45, 43
44.33, 48
48.83, 35
57.01, 16
58.94, 14
60.82, 13
62.67, 16
78.30, 9

Entry 11:
This entry pairs a crystal structure of KCu6Cl12 with its simulated powder diffractogram. Radiation: a wavelength of 1.5418 Å. Structure: the PBE geometry in Alexandria.

Structure:
```
KCu6Cl12
1.0
7.923 4.575 2.234
-7.923 4.575 2.234
0.000 -9.149 2.234
K Cu Cl
1 6 12
Cartesian
0.000 0.000 0.000
-0.030 -4.545 2.802
-3.951 -2.247 3.899
-3.921 2.298 2.802
3.921 -2.298 3.899
3.951 2.247 2.802
0.030 4.545 3.899
-4.664 -5.445 3.401
-7.048 1.317 3.301
-2.391 -2.461 2.268
2.383 -6.762 3.301
-0.936 3.301 2.268
-3.326 0.840 4.433
3.326 -0.840 2.268
0.936 -3.301 4.433
-2.383 6.762 3.401
2.391 2.461 4.433
7.048 -1.317 3.401
4.664 5.445 3.301
```

Peak list (12 most intense, 10° ≤ 2θ ≤ 80°, sorted by position)
Position (°2θ), I/Imax
11.17, 69
19.40, 37
22.44, 100
29.83, 41
31.79, 23
35.70, 29
37.52, 29
39.39, 16
44.16, 54
45.69, 19
56.55, 18
61.97, 27

Entry 12:
This entry pairs a crystal structure of KCu3Cl6 with its simulated powder diffractogram. Radiation: a wavelength of 1.5418 Å. Structure: the PBE geometry in Alexandria.

Structure:
```
KCu3Cl6
1.0
4.261 0.000 0.000
-0.027 7.345 0.000
-0.420 -3.661 7.822
K Cu Cl
1 3 6
Cartesian
0.000 0.000 0.000
1.921 -1.830 3.911
2.117 3.673 0.000
1.907 1.842 3.911
0.582 0.001 3.633
1.745 1.692 6.274
1.776 -1.668 6.276
2.038 5.353 1.546
2.070 1.993 1.548
3.232 3.684 4.189
```

Peak list (12 most intense, 10° ≤ 2θ ≤ 80°, sorted by position)
Position (°2θ), I/Imax
20.88, 100
22.74, 37
24.57, 62
26.82, 21
30.38, 22
32.14, 30
32.26, 30
33.47, 15
34.63, 18
42.51, 52
48.73, 30
49.64, 25